(1)
The following is a theoretical X-ray powder pattern of Ge4PdAu2. It was derived from a GGA-PBE-relaxed structure, using λ = 1.5418 Å (Cu Kα).
Neutral-atom scattering factors, no anomalous dispersion.

Cell and atoms:
abc: 4.765 4.210 7.499
angles: 90.00 107.54 90.00
Fractional positions:
Ge (0.084, 0.000, 0.183)
Ge (0.382, 0.500, 0.778)
Ge (0.618, 0.500, 0.222)
Ge (0.916, 0.000, 0.817)
Pd (0.500, 0.000, 0.000)
Au (0.201, 0.500, 0.395)
Au (0.799, 0.500, 0.605)

The 8 most intense peaks (15° ≤ 2θ ≤ 90°), most intense first:
- 42.94°, d = 2.106 Å, intensity 100
- 24.54°, d = 3.628 Å, intensity 95
- 42.41°, d = 2.131 Å, intensity 67
- 37.76°, d = 2.382 Å, intensity 49
- 26.68°, d = 3.341 Å, intensity 30
- 58.52°, d = 1.577 Å, intensity 28
- 26.22°, d = 3.399 Å, intensity 27
- 21.10°, d = 4.210 Å, intensity 26



(2)
The following is a theoretical X-ray powder pattern of SrGePd2Au2. It was derived from a GGA-PBE-relaxed structure, using λ = 1.5418 Å (Cu Kα).
Neutral-atom scattering factors, no anomalous dispersion.

Cell and atoms:
abc: 4.731 4.731 6.037
angles: 90.00 90.00 90.00
Fractional positions:
Sr (0.000, 0.000, 0.000)
Ge (0.000, 0.000, 0.500)
Pd (0.000, 0.500, 0.500)
Pd (0.500, 0.000, 0.500)
Au (0.500, 0.500, 0.227)
Au (0.500, 0.500, 0.773)

The 8 most intense peaks (15° ≤ 2θ ≤ 90°), most intense first:
- 35.27°, d = 2.545 Å, intensity 100
- 38.04°, d = 2.366 Å, intensity 83
- 52.84°, d = 1.733 Å, intensity 63
- 40.24°, d = 2.241 Å, intensity 44
- 18.76°, d = 4.731 Å, intensity 41
- 30.55°, d = 2.926 Å, intensity 41
- 26.65°, d = 3.345 Å, intensity 40
- 54.89°, d = 1.673 Å, intensity 29



(3)
The following is a theoretical X-ray powder pattern of Tb2Ge3Pd4Au. It was derived from a GGA-PBE-relaxed structure, using λ = 1.5418 Å (Cu Kα).
Neutral-atom scattering factors, no anomalous dispersion.

Cell and atoms:
abc: 4.078 4.078 11.435
angles: 90.00 90.00 90.00
Fractional positions:
Tb (0.000, 0.500, 0.248)
Tb (0.500, 0.000, 0.752)
Ge (0.000, 0.500, 0.870)
Ge (0.500, 0.000, 0.130)
Ge (0.500, 0.500, 0.500)
Pd (0.000, 0.000, 0.000)
Pd (0.000, 0.500, 0.659)
Pd (0.500, 0.000, 0.341)
Pd (0.500, 0.500, 0.000)
Au (0.000, 0.000, 0.500)

The 8 most intense peaks (15° ≤ 2θ ≤ 90°), most intense first:
- 34.85°, d = 2.575 Å, intensity 100
- 44.43°, d = 2.039 Å, intensity 43
- 32.14°, d = 2.785 Å, intensity 32
- 45.47°, d = 1.995 Å, intensity 25
- 75.59°, d = 1.258 Å, intensity 21
- 65.46°, d = 1.426 Å, intensity 17
- 64.65°, d = 1.442 Å, intensity 14
- 44.63°, d = 2.030 Å, intensity 13



(4)
The following is a theoretical X-ray powder pattern of Pm2Ge4Au3. It was derived from a GGA-PBE-relaxed structure, using λ = 1.5418 Å (Cu Kα).
Neutral-atom scattering factors, no anomalous dispersion.

Cell and atoms:
abc: 8.308 8.308 7.956
angles: 90.00 90.00 137.42
Fractional positions:
Pm (0.112, 0.888, 0.916)
Pm (0.388, 0.612, 0.416)
Pm (0.612, 0.388, 0.584)
Pm (0.888, 0.112, 0.084)
Ge (0.179, 0.821, 0.534)
Ge (0.198, 0.302, 0.750)
Ge (0.302, 0.198, 0.250)
Ge (0.321, 0.679, 0.034)
Ge (0.679, 0.321, 0.966)
Ge (0.698, 0.802, 0.750)
Ge (0.802, 0.698, 0.250)
Ge (0.821, 0.179, 0.466)
Au (0.000, 0.000, 0.500)
Au (0.030, 0.470, 0.750)
Au (0.470, 0.030, 0.250)
Au (0.500, 0.500, 0.000)
Au (0.530, 0.970, 0.750)
Au (0.970, 0.530, 0.250)

The 8 most intense peaks (15° ≤ 2θ ≤ 90°), most intense first:
- 37.42°, d = 2.403 Å, intensity 100
- 34.45°, d = 2.603 Å, intensity 64
- 33.82°, d = 2.650 Å, intensity 37
- 35.79°, d = 2.509 Å, intensity 34
- 25.17°, d = 3.538 Å, intensity 34
- 36.61°, d = 2.454 Å, intensity 34
- 58.54°, d = 1.577 Å, intensity 24
- 31.84°, d = 2.811 Å, intensity 21



(5)
The following is a theoretical X-ray powder pattern of Pm4Ge5Au3. It was derived from a GGA-PBE-relaxed structure, using λ = 1.5418 Å (Cu Kα).
Neutral-atom scattering factors, no anomalous dispersion.

Cell and atoms:
abc: 7.312 7.312 11.952
angles: 120.87 120.87 36.51
Fractional positions:
Pm (0.117, 0.117, 0.468)
Pm (0.238, 0.238, 0.838)
Pm (0.762, 0.762, 0.162)
Pm (0.883, 0.883, 0.532)
Ge (0.240, 0.240, 0.331)
Ge (0.434, 0.434, 0.371)
Ge (0.500, 0.500, 0.000)
Ge (0.566, 0.566, 0.629)
Ge (0.760, 0.760, 0.669)
Au (0.000, 0.000, 0.000)
Au (0.406, 0.406, 0.139)
Au (0.594, 0.594, 0.861)

The 8 most intense peaks (15° ≤ 2θ ≤ 90°), most intense first:
- 27.62°, d = 3.230 Å, intensity 100
- 39.33°, d = 2.291 Å, intensity 51
- 30.03°, d = 2.976 Å, intensity 42
- 29.02°, d = 3.077 Å, intensity 38
- 37.78°, d = 2.381 Å, intensity 35
- 30.95°, d = 2.889 Å, intensity 33
- 40.45°, d = 2.230 Å, intensity 29
- 27.92°, d = 3.196 Å, intensity 28



(6)
The following is a theoretical X-ray powder pattern of Pm12GeAu6. It was derived from a GGA-PBE-relaxed structure, using λ = 1.5418 Å (Cu Kα).
Neutral-atom scattering factors, no anomalous dispersion.

Cell and atoms:
abc: 8.663 8.663 8.663
angles: 99.69 99.69 99.69
Fractional positions:
Pm (0.056, 0.923, 0.678)
Pm (0.077, 0.322, 0.944)
Pm (0.179, 0.579, 0.422)
Pm (0.322, 0.944, 0.077)
Pm (0.421, 0.578, 0.821)
Pm (0.422, 0.179, 0.579)
Pm (0.578, 0.821, 0.421)
Pm (0.579, 0.422, 0.179)
Pm (0.678, 0.056, 0.923)
Pm (0.821, 0.421, 0.578)
Pm (0.923, 0.678, 0.056)
Pm (0.944, 0.077, 0.322)
Ge (0.000, 0.000, 0.000)
Au (0.137, 0.313, 0.615)
Au (0.313, 0.615, 0.137)
Au (0.385, 0.863, 0.687)
Au (0.615, 0.137, 0.313)
Au (0.687, 0.385, 0.863)
Au (0.863, 0.687, 0.385)

The 8 most intense peaks (15° ≤ 2θ ≤ 90°), most intense first:
- 35.92°, d = 2.500 Å, intensity 100
- 21.77°, d = 4.083 Å, intensity 55
- 30.28°, d = 2.952 Å, intensity 17
- 42.37°, d = 2.133 Å, intensity 16
- 31.71°, d = 2.821 Å, intensity 15
- 64.52°, d = 1.444 Å, intensity 14
- 51.71°, d = 1.768 Å, intensity 12
- 26.93°, d = 3.311 Å, intensity 9